Entry 1:
Starting from a cell relaxed with GGA-PBE, the powder XRD pattern of CuRe3As5 was simulated for Cu Kα.

Most intense lines, 2θ from 10° to 90°, most intense first:
7.487 Å, 2θ = 11.8°, I 100
1.959 Å, 2θ = 46.4°, I 62
2.196 Å, 2θ = 41.1°, I 54
2.498 Å, 2θ = 36.0°, I 28
2.298 Å, 2θ = 39.2°, I 21
4.596 Å, 2θ = 19.3°, I 16
3.744 Å, 2θ = 23.8°, I 15
1.691 Å, 2θ = 54.3°, I 14

a = 5.307 Å, b = 5.307 Å, c = 7.487 Å
α = 90.00°, β = 90.00°, γ = 120.00°
Atoms (fractional coordinates):
Cu: 0.000 0.000 0.000
Re: 0.000 0.500 0.500
Re: 0.500 0.000 0.500
Re: 0.500 0.500 0.500
As: 0.000 0.000 0.500
As: 0.333 0.667 0.214
As: 0.333 0.667 0.786
As: 0.667 0.333 0.214
As: 0.667 0.333 0.786


Entry 2:
Starting from a cell relaxed with GGA-PBE, the powder XRD pattern of TbDyAg2O4 was simulated for Cu Kα.

Most intense lines, 2θ from 10° to 90°, most intense first:
2.728 Å, 2θ = 32.8°, I 100
2.947 Å, 2θ = 30.3°, I 37
3.121 Å, 2θ = 28.6°, I 36
1.716 Å, 2θ = 53.4°, I 31
1.751 Å, 2θ = 52.2°, I 28
1.527 Å, 2θ = 60.6°, I 26
1.473 Å, 2θ = 63.1°, I 15
2.175 Å, 2θ = 41.5°, I 15

a = 3.502 Å, b = 3.502 Å, c = 12.484 Å
α = 90.00°, β = 90.00°, γ = 120.00°
Atoms (fractional coordinates):
Tb: 0.000 0.000 0.000
Dy: 0.000 0.000 0.500
Ag: 0.333 0.667 0.251
Ag: 0.667 0.333 0.749
O: 0.333 0.667 0.085
O: 0.333 0.667 0.416
O: 0.667 0.333 0.584
O: 0.667 0.333 0.915


Entry 3:
Starting from a cell relaxed with GGA-PBE, the powder XRD pattern of Ag3P2O7 was simulated for Cu Kα.

Most intense lines, 2θ from 10° to 90°, most intense first:
3.279 Å, 2θ = 27.2°, I 100
2.607 Å, 2θ = 34.4°, I 81
4.261 Å, 2θ = 20.8°, I 75
2.762 Å, 2θ = 32.4°, I 73
2.792 Å, 2θ = 32.1°, I 52
3.528 Å, 2θ = 25.2°, I 50
2.675 Å, 2θ = 33.5°, I 45
7.056 Å, 2θ = 12.5°, I 39

a = 8.596 Å, b = 8.596 Å, c = 8.527 Å
α = 117.96°, β = 117.96°, γ = 38.08°
Atoms (fractional coordinates):
Ag: 0.000 0.000 0.000
Ag: 0.000 0.000 0.500
Ag: 0.058 0.422 0.284
Ag: 0.422 0.058 0.784
Ag: 0.578 0.942 0.216
Ag: 0.942 0.578 0.716
P: 0.268 0.523 0.149
P: 0.477 0.732 0.351
P: 0.523 0.268 0.649
P: 0.732 0.477 0.851
O: 0.109 0.663 0.290
O: 0.110 0.668 0.992
O: 0.248 0.403 0.578
O: 0.332 0.890 0.508
O: 0.337 0.891 0.210
O: 0.403 0.248 0.078
O: 0.494 0.506 0.250
O: 0.506 0.494 0.750
O: 0.597 0.752 0.922
O: 0.663 0.109 0.790
O: 0.668 0.110 0.492
O: 0.752 0.597 0.422
O: 0.890 0.332 0.008
O: 0.891 0.337 0.710


Entry 4:
Starting from a cell relaxed with GGA-PBE, the powder XRD pattern of SmHoAs2Pt2 was simulated for Cu Kα.

Most intense lines, 2θ from 10° to 90°, most intense first:
2.684 Å, 2θ = 33.4°, I 100
2.155 Å, 2θ = 41.9°, I 58
1.438 Å, 2θ = 64.8°, I 30
1.680 Å, 2θ = 54.6°, I 25
1.325 Å, 2θ = 71.1°, I 23
3.628 Å, 2θ = 24.5°, I 14
1.931 Å, 2θ = 47.1°, I 13
1.244 Å, 2θ = 76.6°, I 10

a = 4.310 Å, b = 4.310 Å, c = 15.446 Å
α = 90.00°, β = 90.00°, γ = 120.00°
Atoms (fractional coordinates):
Sm: 0.000 0.000 0.250
Sm: 0.000 0.000 0.750
Ho: 0.000 0.000 0.000
Ho: 0.000 0.000 0.500
As: 0.333 0.667 0.115
As: 0.333 0.667 0.385
As: 0.667 0.333 0.615
As: 0.667 0.333 0.885
Pt: 0.333 0.667 0.628
Pt: 0.333 0.667 0.872
Pt: 0.667 0.333 0.128
Pt: 0.667 0.333 0.372


Entry 5:
Starting from a cell relaxed with GGA-PBE, the powder XRD pattern of La2Nd2CF5 was simulated for Cu Kα.

Most intense lines, 2θ from 10° to 90°, most intense first:
3.190 Å, 2θ = 28.0°, I 100
2.830 Å, 2θ = 31.6°, I 95
2.469 Å, 2θ = 36.4°, I 77
2.484 Å, 2θ = 36.2°, I 70
3.467 Å, 2θ = 25.7°, I 59
1.881 Å, 2θ = 48.4°, I 56
2.313 Å, 2θ = 38.9°, I 54
1.848 Å, 2θ = 49.3°, I 51

a = 7.916 Å, b = 7.916 Å, c = 7.084 Å
α = 115.17°, β = 115.17°, γ = 26.13°
Atoms (fractional coordinates):
La: 0.184 0.184 0.187
La: 0.816 0.816 0.813
Nd: 0.497 0.497 0.239
Nd: 0.503 0.503 0.761
C: 0.000 0.000 0.000
F: 0.000 0.000 0.500
F: 0.324 0.324 0.089
F: 0.328 0.328 0.556
F: 0.672 0.672 0.444
F: 0.676 0.676 0.911


Entry 6:
Starting from a cell relaxed with GGA-PBE, the powder XRD pattern of CsTaPO was simulated for Cu Kα.

Most intense lines, 2θ from 10° to 90°, most intense first:
2.954 Å, 2θ = 30.3°, I 100
3.685 Å, 2θ = 24.2°, I 52
3.461 Å, 2θ = 25.7°, I 41
2.685 Å, 2θ = 33.4°, I 38
1.826 Å, 2θ = 50.0°, I 34
1.954 Å, 2θ = 46.5°, I 31
3.920 Å, 2θ = 22.7°, I 30
3.224 Å, 2θ = 27.7°, I 20

a = 3.537 Å, b = 7.840 Å, c = 7.370 Å
α = 90.00°, β = 90.00°, γ = 90.00°
Atoms (fractional coordinates):
Cs: 0.000 0.200 0.000
Cs: 0.000 0.800 0.500
Ta: 0.500 0.317 0.485
Ta: 0.500 0.683 0.985
P: 0.500 0.493 0.742
P: 0.500 0.507 0.242
O: 0.000 0.199 0.477
O: 0.000 0.801 0.977


Entry 7:
Starting from a cell relaxed with GGA-PBE, the powder XRD pattern of NaHg2ClO2 was simulated for Cu Kα.

Most intense lines, 2θ from 10° to 90°, most intense first:
2.860 Å, 2θ = 31.3°, I 100
2.132 Å, 2θ = 42.4°, I 68
3.200 Å, 2θ = 27.9°, I 44
4.913 Å, 2θ = 18.1°, I 41
3.677 Å, 2θ = 24.2°, I 39
5.720 Å, 2θ = 15.5°, I 31
1.467 Å, 2θ = 63.4°, I 25
2.792 Å, 2θ = 32.1°, I 23

a = 6.604 Å, b = 6.604 Å, c = 9.599 Å
α = 90.00°, β = 90.00°, γ = 120.00°
Atoms (fractional coordinates):
Na: 0.000 0.000 0.000
Na: 0.000 0.000 0.333
Na: 0.000 0.000 0.667
Hg: 0.000 0.500 0.491
Hg: 0.000 0.500 0.842
Hg: 0.500 0.000 0.175
Hg: 0.500 0.000 0.825
Hg: 0.500 0.500 0.158
Hg: 0.500 0.500 0.509
Cl: 0.000 0.500 0.167
Cl: 0.500 0.000 0.500
Cl: 0.500 0.500 0.833
O: 0.145 0.290 0.500
O: 0.145 0.855 0.833
O: 0.290 0.145 0.167
O: 0.710 0.855 0.167
O: 0.855 0.145 0.833
O: 0.855 0.710 0.500


Entry 8:
Starting from a cell relaxed with GGA-PBE, the powder XRD pattern of LaNd2Al7Ag2 was simulated for Cu Kα.

Most intense lines, 2θ from 10° to 90°, most intense first:
2.396 Å, 2θ = 37.5°, I 100
2.838 Å, 2θ = 31.5°, I 84
4.467 Å, 2θ = 19.9°, I 34
1.512 Å, 2θ = 61.3°, I 25
1.538 Å, 2θ = 60.1°, I 25
3.021 Å, 2θ = 29.6°, I 24
3.964 Å, 2θ = 22.4°, I 19
2.768 Å, 2θ = 32.3°, I 19

a = 9.516 Å, b = 9.516 Å, c = 9.516 Å
α = 34.70°, β = 34.70°, γ = 34.70°
Atoms (fractional coordinates):
La: 0.000 0.000 0.000
Nd: 0.142 0.142 0.142
Nd: 0.858 0.858 0.858
Al: 0.075 0.587 0.587
Al: 0.413 0.413 0.925
Al: 0.413 0.925 0.413
Al: 0.500 0.500 0.500
Al: 0.587 0.075 0.587
Al: 0.587 0.587 0.075
Al: 0.925 0.413 0.413
Ag: 0.336 0.336 0.336
Ag: 0.664 0.664 0.664


Entry 9:
Starting from a cell relaxed with GGA-PBE, the powder XRD pattern of Cs3Fe2S4 was simulated for Cu Kα.

Most intense lines, 2θ from 10° to 90°, most intense first:
3.042 Å, 2θ = 29.4°, I 100
4.213 Å, 2θ = 21.1°, I 99
3.113 Å, 2θ = 28.7°, I 85
2.543 Å, 2θ = 35.3°, I 60
3.645 Å, 2θ = 24.4°, I 46
2.763 Å, 2θ = 32.4°, I 45
3.797 Å, 2θ = 23.4°, I 44
2.820 Å, 2θ = 31.7°, I 42

a = 7.593 Å, b = 11.045 Å, c = 13.023 Å
α = 90.00°, β = 90.00°, γ = 90.00°
Atoms (fractional coordinates):
Cs: 0.012 0.250 0.052
Cs: 0.109 0.031 0.787
Cs: 0.109 0.469 0.787
Cs: 0.391 0.531 0.287
Cs: 0.391 0.969 0.287
Cs: 0.488 0.750 0.552
Cs: 0.512 0.250 0.448
Cs: 0.609 0.031 0.713
Cs: 0.609 0.469 0.713
Cs: 0.891 0.531 0.213
Cs: 0.891 0.969 0.213
Cs: 0.988 0.750 0.948
Fe: 0.009 0.627 0.507
Fe: 0.009 0.873 0.507
Fe: 0.491 0.127 0.007
Fe: 0.491 0.373 0.007
Fe: 0.509 0.627 0.993
Fe: 0.509 0.873 0.993
Fe: 0.991 0.127 0.493
Fe: 0.991 0.373 0.493
S: 0.042 0.250 0.357
S: 0.096 0.750 0.376
S: 0.227 0.011 0.537
S: 0.227 0.489 0.537
S: 0.273 0.511 0.037
S: 0.273 0.989 0.037
S: 0.404 0.250 0.876
S: 0.458 0.750 0.857
S: 0.542 0.250 0.143
S: 0.596 0.750 0.124
S: 0.727 0.011 0.963
S: 0.727 0.489 0.963
S: 0.773 0.511 0.463
S: 0.773 0.989 0.463
S: 0.904 0.250 0.624
S: 0.958 0.750 0.643


Entry 10:
Starting from a cell relaxed with GGA-PBE, the powder XRD pattern of TaNi2B3 was simulated for Cu Kα.

Most intense lines, 2θ from 10° to 90°, most intense first:
3.406 Å, 2θ = 26.2°, I 100
2.409 Å, 2θ = 37.3°, I 66
2.038 Å, 2θ = 44.4°, I 46
2.120 Å, 2θ = 42.6°, I 36
1.901 Å, 2θ = 47.9°, I 34
1.523 Å, 2θ = 60.8°, I 23
1.842 Å, 2θ = 49.5°, I 23
1.349 Å, 2θ = 69.7°, I 19

a = 4.927 Å, b = 3.923 Å, c = 4.525 Å
α = 70.95°, β = 48.82°, γ = 60.23°
Atoms (fractional coordinates):
Ta: 0.000 0.000 0.000
Ni: 0.202 0.202 0.298
Ni: 0.702 0.702 0.798
B: 0.296 0.562 0.438
B: 0.562 0.296 0.704
B: 0.647 0.647 0.353


Entry 11:
Starting from a cell relaxed with GGA-PBE, the powder XRD pattern of InSnTe4Au3 was simulated for Cu Kα.

Most intense lines, 2θ from 10° to 90°, most intense first:
2.348 Å, 2θ = 38.3°, I 100
3.835 Å, 2θ = 23.2°, I 82
2.003 Å, 2θ = 45.3°, I 42
1.356 Å, 2θ = 69.3°, I 35
1.524 Å, 2θ = 60.8°, I 17
1.661 Å, 2θ = 55.3°, I 17
1.123 Å, 2θ = 86.7°, I 13
1.278 Å, 2θ = 74.2°, I 13

a = 6.642 Å, b = 6.642 Å, c = 6.642 Å
α = 90.00°, β = 90.00°, γ = 90.00°
Atoms (fractional coordinates):
In: 0.000 0.000 0.000
Sn: 0.500 0.500 0.500
Te: 0.245 0.245 0.245
Te: 0.245 0.755 0.755
Te: 0.755 0.245 0.755
Te: 0.755 0.755 0.245
Au: 0.000 0.500 0.500
Au: 0.500 0.000 0.500
Au: 0.500 0.500 0.000


Entry 12:
Starting from a cell relaxed with GGA-PBE, the powder XRD pattern of Al5W7 was simulated for Cu Kα.

Most intense lines, 2θ from 10° to 90°, most intense first:
8.281 Å, 2θ = 10.7°, I 100
2.216 Å, 2θ = 40.7°, I 68
2.191 Å, 2θ = 41.2°, I 44
2.359 Å, 2θ = 38.1°, I 33
2.624 Å, 2θ = 34.2°, I 23
4.383 Å, 2θ = 20.3°, I 23
2.272 Å, 2θ = 39.7°, I 20
1.338 Å, 2θ = 70.3°, I 18

a = 5.248 Å, b = 5.248 Å, c = 16.563 Å
α = 90.00°, β = 90.00°, γ = 120.00°
Atoms (fractional coordinates):
Al: 0.159 0.317 0.250
Al: 0.159 0.841 0.250
Al: 0.317 0.159 0.750
Al: 0.333 0.667 0.648
Al: 0.333 0.667 0.852
Al: 0.667 0.333 0.148
Al: 0.667 0.333 0.352
Al: 0.683 0.841 0.250
Al: 0.841 0.159 0.750
Al: 0.841 0.683 0.750
W: 0.000 0.000 0.097
W: 0.000 0.000 0.403
W: 0.000 0.000 0.597
W: 0.000 0.000 0.903
W: 0.000 0.500 0.000
W: 0.000 0.500 0.500
W: 0.333 0.667 0.130
W: 0.333 0.667 0.370
W: 0.500 0.000 0.000
W: 0.500 0.000 0.500
W: 0.500 0.500 0.000
W: 0.500 0.500 0.500
W: 0.667 0.333 0.630
W: 0.667 0.333 0.870